1.
Tb2Dy3Y6: theoretical powder XRD pattern (λ = 1.5418 Å (Cu Kα)), based on a cell relaxed with PBE.
Intensities are scaled so that the largest is 100.

Cell and atoms:
Lattice parameters (Å, degrees): 3.583 17.262 11.766 90.00 90.00 90.00
Space group Pnnm (No. 58)
Asymmetric unit:
Tb 0.218 0.083 0.000
Dy 0.000 0.000 0.259
Dy 0.000 0.500 0.000
Y 0.140 0.327 0.291
Y 0.168 0.293 0.000

The 6 most intense peaks (2θ from 10° to 90°), low angle first:
2θ (°)	I/Imax	hkl
10.25	55	0 2 0
26.91	56	0 5 1
30.38	96	0 0 4
31.03	53	0 6 0
33.16	76	1 3 2
34.67	100	0 6 2

=====

2.
Ce2Tm3In4: theoretical powder XRD pattern (λ = 1.5418 Å (Cu Kα)), based on a cell relaxed with PBE.
Intensities are scaled so that the largest is 100.

Cell and atoms:
Lattice parameters (Å, degrees): 6.949 17.079 8.880 90.00 90.00 90.00
Space group Cmce (No. 64)
Asymmetric unit:
Ce 0.000 0.106 0.082
Tm 0.000 0.000 0.500
Tm 0.250 0.223 0.750
In 0.000 0.178 0.460
In 0.250 0.046 0.750

The 6 most intense peaks (2θ from 10° to 90°), low angle first:
2θ (°)	I/Imax	hkl
29.52	39	2 2 1
30.86	67	1 5 1
32.00	36	0 2 3
32.73	100	2 0 2
33.05	29	0 6 1
33.27	29	2 4 0

=====

3.
GaAg2Pd6: theoretical powder XRD pattern (λ = 1.5418 Å (Cu Kα)), based on a cell relaxed with PBE.
Intensities are scaled so that the largest is 100.

Cell and atoms:
Lattice parameters (Å, degrees): 7.537 13.835 2.816 90.00 90.00 90.00
Space group Cmmm (No. 65)
Asymmetric unit:
Ga 0.000 0.000 0.000
Ag 0.000 0.320 0.500
Pd 0.177 0.160 0.000
Pd 0.197 0.500 0.500

The 6 most intense peaks (2θ from 10° to 90°), low angle first:
2θ (°)	I/Imax	hkl
34.61	50	1 1 1
39.07	59	0 6 0
40.91	100	3 3 0
42.13	57	2 2 1
48.16	31	2 4 1
81.01	26	3 3 2

=====

4.
Na2TeH6SO10: theoretical powder XRD pattern (λ = 1.5418 Å (Cu Kα)), based on a cell relaxed with PBE.
Intensities are scaled so that the largest is 100.

Cell and atoms:
Lattice parameters (Å, degrees): 5.517 10.401 15.419 90.00 94.34 90.00
Space group Cc (No. 9)
Asymmetric unit:
Na 0.000 0.076 0.000
Na 0.118 0.244 0.190
Te 0.462 0.008 0.310
H 0.001 0.294 0.381
H 0.123 0.039 0.696
H 0.130 0.268 0.806
H 0.138 0.453 0.667
H 0.283 0.118 0.435
H 0.407 0.496 0.822
S 0.073 0.245 0.561
O 0.084 0.110 0.593
O 0.095 0.467 0.200
O 0.134 0.017 0.249
O 0.155 0.249 0.470
O 0.248 0.328 0.616
O 0.288 0.492 0.868
O 0.323 0.204 0.063
O 0.325 0.026 0.421
O 0.421 0.179 0.822
O 0.467 0.194 0.291

The 6 most intense peaks (2θ from 10° to 90°), low angle first:
2θ (°)	I/Imax	hkl
11.51	45	0 0 2
18.24	51	1 1 0
20.62	100	0 2 2
20.95	59	1 1 -2
22.28	65	1 1 2
23.14	28	0 0 4

=====

5.
Ni2Pt: theoretical powder XRD pattern (λ = 1.5418 Å (Cu Kα)), based on a cell relaxed with PBE.
Intensities are scaled so that the largest is 100.

Cell and atoms:
Lattice parameters (Å, degrees): 6.389 2.671 8.948 90.00 90.59 90.00
Space group P2/m (No. 10)
Asymmetric unit:
Ni 0.001 0.000 0.246
Ni 0.324 0.500 0.322
Ni 0.337 0.000 0.085
Ni 0.346 0.500 0.848
Pt 0.000 0.500 0.000
Pt 0.000 0.500 0.500
Pt 0.344 0.000 0.600

The 6 most intense peaks (2θ from 10° to 90°), low angle first:
2θ (°)	I/Imax	hkl
41.92	100	1 1 2
42.44	49	3 0 0
42.69	47	1 0 -4
48.75	66	2 1 -2
50.02	27	2 0 4
72.29	28	4 0 -4

=====

6.
Ce8GeOs2: theoretical powder XRD pattern (λ = 1.5418 Å (Cu Kα)), based on a cell relaxed with PBE.
Intensities are scaled so that the largest is 100.

Cell and atoms:
Lattice parameters (Å, degrees): 17.229 6.391 5.158 90.00 107.37 90.00
Space group C2 (No. 5)
Asymmetric unit:
Ce 0.000 0.000 0.000
Ce 0.000 0.227 0.500
Ce 0.086 0.700 0.586
Ce 0.184 0.335 0.183
Ce 0.227 0.909 0.227
Ge 0.000 0.507 0.000
Os 0.155 0.076 0.654

The 6 most intense peaks (2θ from 10° to 90°), low angle first:
2θ (°)	I/Imax	hkl
31.14	61	3 1 1
32.28	46	4 0 1
33.43	64	0 2 1
34.78	94	2 0 -2
36.93	100	2 2 1
39.83	47	7 1 -1

=====

7.
Nd9Tl2Sn: theoretical powder XRD pattern (λ = 1.5418 Å (Cu Kα)), based on a cell relaxed with PBE.
Intensities are scaled so that the largest is 100.

Cell and atoms:
Lattice parameters (Å, degrees): 4.984 4.984 14.935 90.00 90.00 90.00
Space group P4/mmm (No. 123)
Asymmetric unit:
Nd 0.000 0.000 0.000
Nd 0.000 0.000 0.332
Nd 0.000 0.500 0.164
Nd 0.000 0.500 0.500
Tl 0.500 0.500 0.333
Sn 0.500 0.500 0.000

The 6 most intense peaks (2θ from 10° to 90°), low angle first:
2θ (°)	I/Imax	hkl
31.09	100	1 1 3
36.06	51	2 0 0
51.91	36	2 2 0
61.76	43	3 1 3
84.83	18	3 3 3
87.58	17	4 2 0

=====

8.
BaMg3Tl2: theoretical powder XRD pattern (λ = 1.5418 Å (Cu Kα)), based on a cell relaxed with PBE.
Intensities are scaled so that the largest is 100.

Cell and atoms:
Lattice parameters (Å, degrees): 17.954 4.800 9.155 90.00 114.94 90.00
Space group C2/m (No. 12)
Asymmetric unit:
Ba 0.147 0.000 0.064
Mg 0.044 0.000 0.381
Mg 0.089 0.500 0.667
Mg 0.187 0.500 0.458
Tl 0.025 0.500 0.179
Tl 0.195 0.000 0.703

The 6 most intense peaks (2θ from 10° to 90°), low angle first:
2θ (°)	I/Imax	hkl
23.25	32	4 0 -2
24.76	100	3 1 0
27.16	33	1 1 -2
32.71	38	5 1 -2
35.81	50	1 1 -3
37.44	55	0 2 0

=====

9.
Y2Er7Tm3: theoretical powder XRD pattern (λ = 1.5418 Å (Cu Kα)), based on a cell relaxed with PBE.
Intensities are scaled so that the largest is 100.

Cell and atoms:
Lattice parameters (Å, degrees): 5.747 36.976 3.559 90.00 90.00 90.00
Space group Cmmm (No. 65)
Asymmetric unit:
Y 0.000 0.176 0.000
Er 0.000 0.000 0.000
Er 0.000 0.090 0.500
Er 0.000 0.271 0.000
Er 0.000 0.428 0.000
Tm 0.000 0.350 0.500
Tm 0.000 0.500 0.500

The 6 most intense peaks (2θ from 10° to 90°), low angle first:
2θ (°)	I/Imax	hkl
28.98	24	0 12 0
30.82	26	1 11 0
31.13	49	2 0 0
31.96	33	1 5 1
34.15	100	1 7 1
57.34	27	3 7 1

=====

10.
Pm8InPd2: theoretical powder XRD pattern (λ = 1.5418 Å (Cu Kα)), based on a cell relaxed with PBE.
Intensities are scaled so that the largest is 100.

Cell and atoms:
Lattice parameters (Å, degrees): 17.594 5.064 7.985 90.00 114.64 90.00
Space group C2/m (No. 12)
Asymmetric unit:
Pm 0.048 0.000 0.262
Pm 0.094 0.500 0.966
Pm 0.183 0.500 0.475
Pm 0.185 0.000 0.787
In 0.000 0.500 0.500
Pd 0.191 0.000 0.151

The 6 most intense peaks (2θ from 10° to 90°), low angle first:
2θ (°)	I/Imax	hkl
28.86	33	1 1 -2
30.95	100	5 1 -1
32.68	64	1 1 2
34.41	27	4 0 -3
35.45	51	0 2 0
60.87	28	5 3 -1

=====

11.
NaHgB2F8: theoretical powder XRD pattern (λ = 1.5418 Å (Cu Kα)), based on a cell relaxed with PBE.
Intensities are scaled so that the largest is 100.

Cell and atoms:
Lattice parameters (Å, degrees): 5.3502 5.3502 19.1409 90.00 90.00 120.00
Space group R-3m (No. 166, hexagonal axes)
Asymmetric unit:
Na 0.0000 0.0000 0.0000
Hg 0.0000 0.0000 0.5000
B 0.0000 0.0000 0.2700
F 0.0000 0.0000 0.3436
F 0.0441 0.5220 0.4215

The 6 most intense peaks (2θ from 10° to 90°), low angle first:
2θ (°)	I/Imax	hkl
19.71	100	1 0 1
21.31	59	0 1 2
26.78	100	1 0 4
30.29	53	0 1 5
33.50	56	1 1 0
44.18	66	1 1 6

=====

12.
MnHgSe2: theoretical powder XRD pattern (λ = 1.5418 Å (Cu Kα)), based on a cell relaxed with PBE.
Intensities are scaled so that the largest is 100.

Cell and atoms:
Lattice parameters (Å, degrees): 3.4820 3.4820 19.7897 90.00 90.00 120.00
Space group P6_3/mmc (No. 194)
Asymmetric unit:
Mn 0.0000 0.0000 0.0000
Hg 0.3333 0.6667 0.2500
Se 0.3333 0.6667 0.0727

The 6 most intense peaks (2θ from 10° to 90°), low angle first:
2θ (°)	I/Imax	hkl
17.93	48	0 0 4
27.03	33	0 0 6
29.97	100	1 0 1
37.50	78	1 0 5
40.53	42	1 0 6
52.57	32	1 1 0

=====

What did the second record say?
Ce2Tm3In4: theoretical powder XRD pattern (λ = 1.5418 Å (Cu Kα)), based on a cell relaxed with PBE.
Intensities are scaled so that the largest is 100.

Cell and atoms:
Lattice parameters (Å, degrees): 6.949 17.079 8.880 90.00 90.00 90.00
Space group Cmce (No. 64)
Asymmetric unit:
Ce 0.000 0.106 0.082
Tm 0.000 0.000 0.500
Tm 0.250 0.223 0.750
In 0.000 0.178 0.460
In 0.250 0.046 0.750

The 6 most intense peaks (2θ from 10° to 90°), low angle first:
2θ (°)	I/Imax	hkl
29.52	39	2 2 1
30.86	67	1 5 1
32.00	36	0 2 3
32.73	100	2 0 2
33.05	29	0 6 1
33.27	29	2 4 0